Theoretical X-ray powder pattern of NaLi3H8N4 for Cu Kα X-rays, from the PBE geometry in the Materials Project.
Kinematic intensities with the Lorentz-polarization factor, no thermal factor.

Cell and atoms:
Cell lengths 6.8760, 6.8760, 6.8760 Å; angles 136.31, 136.31, 63.50 degrees
Fractional positions:
Na: 0.0000 0.0000 0.0000
Li: 0.2398 0.2398 0.0000
Li: 0.7500 0.2500 0.5000
Li: 0.7602 0.7602 0.0000
H: 0.1605 0.3100 0.6346
H: 0.2710 0.0259 0.5807
H: 0.3097 0.7290 0.7548
H: 0.4451 0.6903 0.4193
H: 0.4741 0.8395 0.1495
H: 0.6754 0.5259 0.3654
H: 0.6900 0.3246 0.8505
H: 0.9741 0.5549 0.2452
N: 0.0877 0.1143 0.5019
N: 0.4142 0.9123 0.0266
N: 0.6124 0.5858 0.4981
N: 0.8857 0.3876 0.9734

Peak list (10 most intense, 2θ from 10° to 90°, low angle first)
2θ (°)	I/Imax
18.9	36.7
24.6	12.7
28.8	14.5
29.0	100.0
39.6	18.5
40.2	16.3
42.5	7.4
47.2	37.9
50.4	17.3
59.3	10.5